No. 1
The following is a simulated X-ray diffraction stick pattern of LiNbGeO5. It was derived from a crystal structure in OQMD, relaxed with PBE, using a wavelength of 1.5418 Å.
Neutral-atom scattering factors, no anomalous dispersion.

Cell and atoms:
a b c (Å): 7.7631 6.7284 7.4888
angles (deg): 90.00 90.00 90.00
Space group Pnma (No. 62)
Symmetry-distinct sites (fractional):
Li1 0.0000 0.0000 0.0000 x4
Nb1 0.1626 0.2500 0.2730 x4
Ge1 0.1311 0.7500 0.3642 x4
O1 0.0590 0.2500 0.5057 x4
O2 0.1109 0.7500 0.8382 x4
O3 0.1258 0.5406 0.2271 x8
O4 0.1821 0.2500 0.9956 x4

Most intense lines, 2θ = 10–90°, in order of rising 2θ:
h k l	two_theta	I/Imax
0 0 2	23.8	26
2 0 1	25.9	100
0 2 0	26.5	89
2 2 1	37.4	28
1 2 2	37.8	27
2 1 4	56.2	24


No. 2
The following is a simulated X-ray diffraction stick pattern of Cs3RbAg2As2. It was derived from a crystal structure in OQMD, relaxed with PBE, using a wavelength of 1.5418 Å.
Neutral-atom scattering factors, no anomalous dispersion.

Cell and atoms:
a b c (Å): 6.8712 6.5133 6.8969
angles (deg): 90.00 107.02 90.00
Space group Pm (No. 6)
Symmetry-distinct sites (fractional):
Cs1 0.0000 0.0000 0.0000 x1
Cs2 0.0501 0.5000 0.3676 x1
Cs3 0.3433 0.0000 0.6584 x1
Rb1 0.7069 0.5000 0.7056 x1
Ag1 0.5259 0.2503 0.1853 x2
As1 0.2890 0.5000 0.9376 x1
As2 0.7680 0.0000 0.4278 x1

Most intense lines, 2θ = 10–90°, in order of rising 2θ:
h k l	two_theta	I/Imax
1 1 1	25.7	59
2 0 -1	26.5	66
1 1 -2	29.9	100
1 2 0	30.6	42
1 2 1	35.2	29
0 2 3	50.0	42


No. 3
The following is a simulated X-ray diffraction stick pattern of Na4In3Hg. It was derived from a crystal structure in OQMD, relaxed with PBE, using a wavelength of 1.5418 Å.
Neutral-atom scattering factors, no anomalous dispersion.

Cell and atoms:
a b c (Å): 5.1737 5.1737 7.3651
angles (deg): 90.00 90.00 90.00
Space group P-4m2 (No. 115)
Symmetry-distinct sites (fractional):
Na1 0.0000 0.0000 0.0000 x1
Na2 0.0000 0.5000 0.7469 x2
Na3 0.5000 0.5000 0.5000 x1
In1 0.0000 0.5000 0.2524 x2
In2 0.5000 0.5000 0.0000 x1
Hg1 0.0000 0.0000 0.5000 x1

Most intense lines, 2θ = 10–90°, in order of rising 2θ:
h k l	two_theta	I/Imax
1 0 1	21.0	87
1 1 2	34.6	100
2 0 0	34.7	50
2 1 1	40.9	32
2 0 4	61.9	18
3 1 2	62.1	35


No. 4
The following is a simulated X-ray diffraction stick pattern of LaMgAuS3. It was derived from a crystal structure in OQMD, relaxed with PBE, using a wavelength of 1.5418 Å.
Neutral-atom scattering factors, no anomalous dispersion.

Cell and atoms:
a b c (Å): 3.8380 12.6880 10.9204
angles (deg): 90.00 90.00 90.00
Space group Cmcm (No. 63)
Symmetry-distinct sites (fractional):
La1 0.0000 0.0000 0.0000 x4
Mg1 0.0000 0.2326 0.2500 x4
Au1 0.0000 0.4781 0.7500 x4
S1 0.0000 0.1145 0.7500 x4
S2 0.0000 0.3452 0.5833 x8

Most intense lines, 2θ = 10–90°, in order of rising 2θ:
h k l	two_theta	I/Imax
0 2 0	14.0	100
1 1 2	29.3	76
0 0 4	32.8	22
1 3 2	35.6	78
0 2 4	35.8	28
1 5 2	46.0	25